Starting from a DFT-relaxed cell (PBE, the Materials Project), the powder X-ray diffraction pattern of HoBC was computed for Cu Ka.

Most intense lines, 10° ≤ 2θ ≤ 90°, sorted by position:
hkl	two_theta	I/Imax
0 4 0	18.93	86
0 0 1	25.48	55
1 1 0	26.84	33
0 6 0	28.56	46
1 3 0	30.09	75
0 4 1	31.93	42
1 1 1	37.34	40
0 6 1	38.64	38
1 3 1	39.83	100
1 7 1	50.74	36

Crystal structure
```
data_HoBC
_space_group_name_H-M_alt 'C m m m'
_space_group_IT_number 65
_space_group_name_Hall '-C 2 2'
_cell_length_a 3.3752
_cell_length_b 18.7535
_cell_length_c 3.4958
_cell_angle_alpha 90.00
_cell_angle_beta 90.00
_cell_angle_gamma 90.00
loop_
_atom_site_label
_atom_site_type_symbol
_atom_site_fract_x
_atom_site_fract_y
_atom_site_fract_z
_atom_site_occupancy
Ho1 Ho 0.0000 0.1545 0.0000 1
B1 B 0.0000 0.2769 0.5000 1
C1 C 0.0000 0.3564 0.5000 1
```